Tl2O3: theoretical powder diffractogram (Cu Kα (weighted mean of Kα1 and Kα2)), based on a PBE-relaxed structure.

Structure:
Cell lengths 3.5929, 3.5929, 6.5128 Å; angles 90.00, 90.00, 120.00 degrees
Space group P-3m1 (No. 164)
Unique sites:
Tl 0.3333 0.6667 0.2329 (multiplicity 2)
O 0.0000 0.0000 0.0000 (multiplicity 1)
O 0.3333 0.6667 0.6538 (multiplicity 2)

Largest 10 diffraction maxima, sorted by position, 2θ = 10–80°:
27.39 deg, I 36, (0 0 2)
28.69 deg, I 26, (1 0 0)
31.87 deg, I 100, (0 1 1)
40.08 deg, I 30, (0 1 2)
50.83 deg, I 27, (1 1 0)
51.32 deg, I 31, (1 0 3)
58.70 deg, I 26, (1 1 2)
61.26 deg, I 17, (0 2 1)
75.13 deg, I 10, (0 2 3)
79.44 deg, I 10, (1 1 4)